[1]
The following is a calculated powder X-ray diffraction pattern of NaCoSeO6F. It was derived from a cell relaxed with GGA+U, using λ = 1.5418 Å (Cu Kα).
No peak broadening, texture or thermal motion is included.

Most intense lines, 15° ≤ 2θ ≤ 90°, low angle first:
| d_spacing | I/Imax |
| --- | --- |
| 5.669 | 100.0 |
| 4.810 | 19.9 |
| 3.923 | 30.7 |
| 3.366 | 24.2 |
| 3.107 | 34.9 |
| 2.585 | 17.1 |

Structural model:
Unit cell a=5.6968 b=6.7819 c=7.7950 alpha=90.00 beta=95.70 gamma=90.00
Space group P2_1/m (No. 11)
Symmetry-distinct sites (fractional):
Na  0.1560  0.2500  0.1617 [2 per cell]
Co  0.5000  0.0000  0.5000 [2 per cell]
Se  0.4107  0.7500  0.1390 [2 per cell]
O  0.2209  0.7500  0.9670 [2 per cell]
O  0.2297  0.6560  0.5851 [4 per cell]
O  0.3111  0.2500  0.8989 [2 per cell]
O  0.3545  0.5484  0.2613 [4 per cell]
F  0.3156  0.2500  0.4825 [2 per cell]

---

[2]
The following is a calculated powder X-ray diffraction pattern of RbNa2CoF6. It was derived from a cell relaxed with GGA+U, using λ = 1.5418 Å (Cu Kα).
No peak broadening, texture or thermal motion is included.

Most intense lines, 15° ≤ 2θ ≤ 90°, low angle first:
| d_spacing | I/Imax |
| --- | --- |
| 4.318 | 36.7 |
| 4.204 | 75.8 |
| 3.026 | 74.5 |
| 2.996 | 100.0 |
| 2.956 | 34.6 |
| 1.723 | 28.3 |

Structural model:
Unit cell a=5.9811 b=5.9117 c=10.4432 alpha=90.00 beta=124.22 gamma=90.00
Space group P2_1/c (No. 14)
Symmetry-distinct sites (fractional):
Rb  0.0000  0.0000  0.0000 [2 per cell]
Na  0.2776  0.0732  0.7722 [4 per cell]
Co  0.5000  0.0000  0.5000 [2 per cell]
F  0.1406  0.0589  0.3062 [4 per cell]
F  0.3478  0.6309  0.1080 [4 per cell]
F  0.4724  0.2084  0.0621 [4 per cell]

---

[3]
The following is a calculated powder X-ray diffraction pattern of RbNa2CoF8. It was derived from a cell relaxed with GGA+U, using λ = 1.5418 Å (Cu Kα).
No peak broadening, texture or thermal motion is included.

Most intense lines, 15° ≤ 2θ ≤ 90°, low angle first:
| d_spacing | I/Imax |
| --- | --- |
| 5.277 | 87.2 |
| 4.429 | 93.0 |
| 3.602 | 100.0 |
| 3.311 | 73.0 |
| 3.216 | 80.8 |
| 1.969 | 79.0 |

Structural model:
Unit cell a=4.7330 b=5.3208 c=7.2848 alpha=88.53 beta=71.86 gamma=82.72
Space group P-1 (No. 2)
Symmetry-distinct sites (fractional):
Rb  0.0000  0.0000  0.0000 [1 per cell]
Na  0.3334  0.5285  0.3082 [2 per cell]
Co  0.5000  0.0000  0.5000 [1 per cell]
F  0.1856  0.2436  0.5944 [2 per cell]
F  0.2811  0.7483  0.6096 [2 per cell]
F  0.2930  0.4807  0.0052 [2 per cell]
F  0.4018  0.9752  0.2806 [2 per cell]

---

[4]
The following is a calculated powder X-ray diffraction pattern of NaScCoF6. It was derived from a cell relaxed with GGA+U, using λ = 1.5418 Å (Cu Kα).
No peak broadening, texture or thermal motion is included.

Most intense lines, 15° ≤ 2θ ≤ 90°, low angle first:
| d_spacing | I/Imax |
| --- | --- |
| 4.893 | 73.5 |
| 4.716 | 28.7 |
| 3.396 | 100.0 |
| 2.379 | 83.7 |
| 1.820 | 81.6 |
| 1.572 | 37.1 |

Structural model:
Unit cell a=5.4457 b=5.4457 c=9.7864 alpha=90.00 beta=90.00 gamma=120.00
Space group P-31c (No. 163)
Symmetry-distinct sites (fractional):
Na  0.0000  0.0000  0.0000 [2 per cell]
Sc  0.3333  0.6667  0.2500 [2 per cell]
Co  0.3333  0.6667  0.7500 [2 per cell]
F  0.0034  0.3600  0.1399 [12 per cell]

---

[5]
The following is a calculated powder X-ray diffraction pattern of Na2TbCoF8. It was derived from a cell relaxed with GGA+U, using λ = 1.5418 Å (Cu Kα).
No peak broadening, texture or thermal motion is included.

Most intense lines, 15° ≤ 2θ ≤ 90°, low angle first:
| d_spacing | I/Imax |
| --- | --- |
| 5.268 | 100.0 |
| 4.869 | 72.7 |
| 3.606 | 93.0 |
| 3.545 | 77.9 |
| 2.845 | 58.7 |
| 2.466 | 67.0 |

Structural model:
Unit cell a=4.8693 b=6.7611 c=5.2685 alpha=90.00 beta=90.98 gamma=90.00
Space group P2/m (No. 10)
Symmetry-distinct sites (fractional):
Na  0.0000  0.2391  0.0000 [2 per cell]
Tb  0.5000  0.5000  0.5000 [1 per cell]
Co  0.5000  0.0000  0.5000 [1 per cell]
F  0.1810  0.5000  0.2135 [2 per cell]
F  0.2301  0.0000  0.2534 [2 per cell]
F  0.3208  0.2273  0.6822 [4 per cell]

---

[6]
The following is a calculated powder X-ray diffraction pattern of NaTl3Co2F9. It was derived from a cell relaxed with GGA+U, using λ = 1.5418 Å (Cu Kα).
No peak broadening, texture or thermal motion is included.

Most intense lines, 15° ≤ 2θ ≤ 90°, low angle first:
| d_spacing | I/Imax |
| --- | --- |
| 4.243 | 36.7 |
| 3.000 | 100.0 |
| 2.450 | 30.8 |
| 2.121 | 32.7 |
| 1.732 | 40.8 |
| 1.500 | 19.9 |

Structural model:
Unit cell a=6.0031 b=6.0031 c=7.3407 alpha=90.00 beta=90.00 gamma=120.00
Space group P-3m1 (No. 164)
Symmetry-distinct sites (fractional):
Na  0.0000  0.0000  0.0000 [1 per cell]
Tl  0.0000  0.0000  0.5000 [1 per cell]
Tl  0.3333  0.6667  0.1524 [2 per cell]
Co  0.3333  0.6667  0.6581 [2 per cell]
F  0.0000  0.5000  0.5000 [3 per cell]
F  0.1784  0.3568  0.8092 [6 per cell]